Sr4Fe3O10: computed X-ray powder pattern (a wavelength of 1.5418 Å), based on a crystal structure in the Materials Project, relaxed with PBE+U.
Kinematic intensities with the Lorentz-polarization factor, no thermal factor.

Structure:
```
Sr4Fe3O10
1.0
7.7143 0.0000 0.0000
0.1822 7.9779 0.0000
0.1147 3.9627 7.9993
Sr Fe O
8 6 20
Direct
0.0042 0.4057 0.2228
0.0085 0.1278 0.7782
0.4934 0.6137 0.7660
0.4942 0.8809 0.2332
0.5058 0.1191 0.7668
0.5066 0.3863 0.2340
0.9915 0.8722 0.2218
0.9958 0.5943 0.7772
0.1990 0.9752 0.5006
0.2512 0.2459 0.0096
0.2513 0.7504 0.0006
0.7487 0.2496 0.9994
0.7488 0.7541 0.9904
0.8010 0.0248 0.4994
0.0086 0.2363 0.0290
0.0238 0.1530 0.4996
0.2438 0.6205 0.2333
0.2452 0.3525 0.7758
0.2493 0.9837 0.0136
0.2513 0.5222 0.9829
0.2625 0.9217 0.7243
0.2651 0.1455 0.2712
0.3348 0.7897 0.5008
0.4924 0.2432 0.0108
0.5076 0.7568 0.9892
0.6652 0.2103 0.4992
0.7349 0.8545 0.7288
0.7375 0.0783 0.2757
0.7487 0.4778 0.0171
0.7507 0.0163 0.9864
0.7548 0.6475 0.2242
0.7562 0.3795 0.7667
0.9762 0.8470 0.5004
0.9914 0.7637 0.9710
```

Peak list (10 most intense, 10 to 80 degrees two-theta, in order of falling intensity)
2theta  I (rel.)
11.06  100
31.91  96
32.67  94
32.20  73
31.63  72
31.73  70
32.30  69
45.35  54
45.48  52
47.14  46

Sr2TbFeO6: computed X-ray powder pattern (a wavelength of 1.5418 Å), based on a crystal structure in the Materials Project, relaxed with PBE+U.
Kinematic intensities with the Lorentz-polarization factor, no thermal factor.

Structure:
```
Sr2TbFeO6
1.0
0.0000 4.0779 4.0779
4.0779 0.0000 4.0779
4.0779 4.0779 0.0000
Sr Tb Fe O
2 1 1 6
Direct
0.2500 0.2500 0.2500
0.7500 0.7500 0.7500
0.0000 0.0000 0.0000
0.5000 0.5000 0.5000
0.2694 0.2694 0.7306
0.2694 0.7306 0.2694
0.2694 0.7306 0.7306
0.7306 0.2694 0.2694
0.7306 0.2694 0.7306
0.7306 0.7306 0.2694
```

Peak list (10 most intense, 10 to 80 degrees two-theta, in order of falling intensity)
2theta  I (rel.)
31.01  100
55.17  39
44.43  33
64.65  20
73.43  18
18.85  12
36.54  10
48.66  6
21.79  6
58.83  3

Sr5Ti4FeO15: computed X-ray powder pattern (a wavelength of 1.5418 Å), based on a crystal structure in the Materials Project, relaxed with PBE+U.
Kinematic intensities with the Lorentz-polarization factor, no thermal factor.

Structure:
```
Sr5Ti4FeO15
1.0
8.4292 -2.7745 0.0000
8.4292 2.7745 0.0000
-1.9326 0.0000 6.5552
Sr Ti Fe O
5 4 1 15
Direct
0.0000 0.0000 0.0000
0.1984 0.1984 0.7999
0.4028 0.4028 0.5977
0.5972 0.5972 0.4023
0.8016 0.8016 0.2001
0.1989 0.1989 0.3058
0.3976 0.3976 0.0956
0.6024 0.6024 0.9044
0.8011 0.8011 0.6942
0.0000 0.0000 0.5000
0.0000 0.5000 0.5000
0.0999 0.5989 0.9051
0.1030 0.1030 0.3935
0.1975 0.7053 0.3052
0.2947 0.8025 0.6948
0.3021 0.3021 0.2035
0.4011 0.9001 0.0949
0.5000 0.0000 0.5000
0.5000 0.5000 0.0000
0.5989 0.0999 0.9051
0.6979 0.6979 0.7965
0.7053 0.1975 0.3052
0.8025 0.2947 0.6948
0.8970 0.8970 0.6065
0.9001 0.4011 0.0949
```

Peak list (10 most intense, 10 to 80 degrees two-theta, in order of falling intensity)
2theta  I (rel.)
32.02  100
32.25  49
46.26  40
57.36  28
66.97  23
39.59  22
45.58  21
56.94  19
67.49  11
57.39  9